Record 1
# Mg4Ag3Pt2
Computed PXRD pattern, Cu Kα (weighted mean of Kα1 and Kα2). Input: the GGA-PBE geometry in Alexandria.
Kinematic intensities with the Lorentz-polarization factor, no thermal factor.

Peak list (10 most intense, 2θ from 10° to 90°, in order of rising 2θ)
23.62°, I = 31
25.50°, I = 57
29.10°, I = 25
31.51°, I = 38
38.17°, I = 100
39.20°, I = 94
39.73°, I = 45
40.79°, I = 42
58.25°, I = 29
72.48°, I = 30

Atomic structure:
a b c (Å): 4.610 4.610 8.688
angles (deg): 93.78 93.78 57.34
Fractional coordinates of all 9 atoms:
Mg: 0.005 0.005 0.320
Mg: 0.334 0.334 0.110
Mg: 0.666 0.666 0.890
Mg: 0.995 0.995 0.680
Ag: 0.000 0.000 0.000
Ag: 0.334 0.334 0.442
Ag: 0.666 0.666 0.558
Pt: 0.330 0.330 0.785
Pt: 0.670 0.670 0.215



Record 2
# Mg4AgRh3
Computed PXRD pattern, Cu Kα (weighted mean of Kα1 and Kα2). Input: the GGA-PBE geometry in Alexandria.
Kinematic intensities with the Lorentz-polarization factor, no thermal factor.

Peak list (10 most intense, 2θ from 10° to 90°, in order of rising 2θ)
28.26°, I = 50
40.39°, I = 100
49.99°, I = 10
50.11°, I = 3
58.44°, I = 16
66.16°, I = 17
73.40°, I = 24
73.56°, I = 8
87.24°, I = 5
87.41°, I = 5

Atomic structure:
a b c (Å): 7.726 7.726 7.726
angles (deg): 33.63 33.63 33.63
Fractional coordinates of all 8 atoms:
Mg: 0.121 0.121 0.121
Mg: 0.371 0.371 0.371
Mg: 0.629 0.629 0.629
Mg: 0.879 0.879 0.879
Ag: 0.500 0.500 0.500
Rh: 0.000 0.000 0.000
Rh: 0.247 0.247 0.247
Rh: 0.753 0.753 0.753



Record 3
# Mg5AgRh2
Computed PXRD pattern, Cu Kα (weighted mean of Kα1 and Kα2). Input: the GGA-PBE geometry in Alexandria.
Kinematic intensities with the Lorentz-polarization factor, no thermal factor.

Peak list (10 most intense, 2θ from 10° to 90°, in order of rising 2θ)
22.39°, I = 45
27.04°, I = 48
28.73°, I = 24
30.46°, I = 37
37.93°, I = 59
38.33°, I = 100
38.81°, I = 38
41.44°, I = 51
45.69°, I = 32
63.38°, I = 23

Atomic structure:
a b c (Å): 5.657 11.153 4.356
angles (deg): 90.00 90.00 90.00
Fractional coordinates of all 16 atoms:
Mg: 0.000 0.000 0.000
Mg: 0.090 0.260 0.000
Mg: 0.191 0.612 0.500
Mg: 0.309 0.112 0.500
Mg: 0.410 0.760 0.000
Mg: 0.500 0.500 0.000
Mg: 0.590 0.240 0.000
Mg: 0.691 0.888 0.500
Mg: 0.809 0.388 0.500
Mg: 0.910 0.740 0.000
Ag: 0.000 0.500 0.000
Ag: 0.500 0.000 0.000
Rh: 0.179 0.863 0.500
Rh: 0.321 0.363 0.500
Rh: 0.679 0.637 0.500
Rh: 0.821 0.137 0.500



Record 4
# Mg3AgRh
Computed PXRD pattern, Cu Kα (weighted mean of Kα1 and Kα2). Input: the GGA-PBE geometry in Alexandria.
Kinematic intensities with the Lorentz-polarization factor, no thermal factor.

Peak list (10 most intense, 2θ from 10° to 90°, in order of rising 2θ)
18.72°, I = 29
21.13°, I = 45
25.04°, I = 39
26.00°, I = 53
31.39°, I = 36
36.70°, I = 37
37.26°, I = 100
37.74°, I = 60
39.14°, I = 40
41.18°, I = 36

Atomic structure:
a b c (Å): 7.402 7.402 8.518
angles (deg): 118.20 118.20 74.54
Fractional coordinates of all 20 atoms:
Mg: 0.056 0.335 0.548
Mg: 0.065 0.754 0.907
Mg: 0.246 0.935 0.593
Mg: 0.333 0.380 0.942
Mg: 0.335 0.056 0.048
Mg: 0.380 0.333 0.442
Mg: 0.620 0.667 0.558
Mg: 0.665 0.944 0.952
Mg: 0.667 0.620 0.058
Mg: 0.754 0.065 0.407
Mg: 0.935 0.246 0.093
Mg: 0.944 0.665 0.452
Ag: 0.165 0.566 0.214
Ag: 0.434 0.835 0.286
Ag: 0.566 0.165 0.714
Ag: 0.835 0.434 0.786
Rh: 0.023 0.977 0.250
Rh: 0.344 0.656 0.750
Rh: 0.656 0.344 0.250
Rh: 0.977 0.023 0.750



Record 5
# Mg4Ag3Rh
Computed PXRD pattern, Cu Kα (weighted mean of Kα1 and Kα2). Input: the GGA-PBE geometry in Alexandria.
Kinematic intensities with the Lorentz-polarization factor, no thermal factor.

Peak list (10 most intense, 2θ from 10° to 90°, in order of rising 2θ)
27.14°, I = 17
27.27°, I = 35
38.88°, I = 100
48.11°, I = 14
56.25°, I = 11
63.35°, I = 6
63.58°, I = 12
70.28°, I = 9
70.47°, I = 21
83.39°, I = 6

Atomic structure:
a b c (Å): 3.271 3.271 13.143
angles (deg): 90.00 90.00 90.00
Fractional coordinates of all 8 atoms:
Mg: 0.000 0.000 0.109
Mg: 0.000 0.000 0.371
Mg: 0.000 0.000 0.629
Mg: 0.000 0.000 0.891
Ag: 0.500 0.500 0.241
Ag: 0.500 0.500 0.500
Ag: 0.500 0.500 0.759
Rh: 0.500 0.500 0.000



Record 6
# Mg3AgRh
Computed PXRD pattern, Cu Kα (weighted mean of Kα1 and Kα2). Input: the GGA-PBE geometry in Alexandria.
Kinematic intensities with the Lorentz-polarization factor, no thermal factor.

Peak list (10 most intense, 2θ from 10° to 90°, in order of rising 2θ)
10.80°, I = 18
21.69°, I = 17
27.76°, I = 35
38.86°, I = 100
44.94°, I = 10
51.74°, I = 6
56.13°, I = 16
70.34°, I = 20
70.44°, I = 11
83.42°, I = 6

Atomic structure:
a b c (Å): 8.515 8.515 4.639
angles (deg): 90.00 90.00 148.46
Fractional coordinates of all 10 atoms:
Mg: 0.060 0.940 0.750
Mg: 0.249 0.751 0.750
Mg: 0.435 0.565 0.750
Mg: 0.565 0.435 0.250
Mg: 0.751 0.249 0.250
Mg: 0.940 0.060 0.250
Ag: 0.344 0.656 0.250
Ag: 0.656 0.344 0.750
Rh: 0.151 0.849 0.250
Rh: 0.849 0.151 0.750



Record 7
# Mg6AgRh
Computed PXRD pattern, Cu Kα (weighted mean of Kα1 and Kα2). Input: the GGA-PBE geometry in Alexandria.
Kinematic intensities with the Lorentz-polarization factor, no thermal factor.

Peak list (10 most intense, 2θ from 10° to 90°, in order of rising 2θ)
12.06°, I = 100
24.26°, I = 17
27.35°, I = 23
29.98°, I = 26
36.88°, I = 94
39.06°, I = 43
41.03°, I = 20
46.41°, I = 21
56.43°, I = 14
69.33°, I = 29

Atomic structure:
a b c (Å): 8.029 8.029 8.029
angles (deg): 146.61 146.61 47.93
Fractional coordinates of all 8 atoms:
Mg: 0.105 0.605 0.500
Mg: 0.244 0.244 0.000
Mg: 0.395 0.895 0.500
Mg: 0.605 0.105 0.500
Mg: 0.756 0.756 0.000
Mg: 0.895 0.395 0.500
Ag: 0.500 0.500 0.000
Rh: 0.000 0.000 0.000



Record 8
# Sr2Mg6AgRh
Computed PXRD pattern, Cu Kα (weighted mean of Kα1 and Kα2). Input: the GGA-PBE geometry in Alexandria.
Kinematic intensities with the Lorentz-polarization factor, no thermal factor.

Peak list (10 most intense, 2θ from 10° to 90°, in order of rising 2θ)
17.15°, I = 9
24.35°, I = 100
34.66°, I = 34
34.78°, I = 17
42.82°, I = 29
42.90°, I = 14
49.91°, I = 29
56.19°, I = 10
67.82°, I = 11
83.61°, I = 7

Atomic structure:
a b c (Å): 7.308 7.308 7.308
angles (deg): 119.97 119.79 90.20
Fractional coordinates of all 10 atoms:
Sr: 0.250 0.250 0.000
Sr: 0.750 0.750 0.000
Mg: 0.257 0.243 0.500
Mg: 0.257 0.757 0.013
Mg: 0.257 0.757 0.500
Mg: 0.743 0.243 0.500
Mg: 0.743 0.243 0.987
Mg: 0.743 0.757 0.500
Ag: 0.000 0.500 0.500
Rh: 0.500 0.000 0.500



Record 9
# MgAg2SbS4
Computed PXRD pattern, Cu Kα (weighted mean of Kα1 and Kα2). Input: the GGA-PBE geometry in Alexandria.
Kinematic intensities with the Lorentz-polarization factor, no thermal factor.

Peak list (10 most intense, 2θ from 10° to 90°, in order of rising 2θ)
16.86°, I = 12
26.36°, I = 100
30.20°, I = 13
43.24°, I = 20
43.96°, I = 39
51.36°, I = 30
52.61°, I = 14
70.38°, I = 11
79.82°, I = 13
85.32°, I = 7

Atomic structure:
a b c (Å): 7.102 7.102 7.102
angles (deg): 130.76 130.76 72.20
Fractional coordinates of all 8 atoms:
Mg: 0.000 0.000 0.000
Ag: 0.500 0.500 0.000
Ag: 0.750 0.250 0.500
Sb: 0.250 0.750 0.500
S: 0.122 0.635 0.003
S: 0.365 0.368 0.486
S: 0.632 0.119 0.997
S: 0.881 0.878 0.514



Record 10
# MgAg14Sb
Computed PXRD pattern, Cu Kα (weighted mean of Kα1 and Kα2). Input: the GGA-PBE geometry in Alexandria.
Kinematic intensities with the Lorentz-polarization factor, no thermal factor.

Peak list (10 most intense, 2θ from 10° to 90°, in order of rising 2θ)
35.85°, I = 20
36.03°, I = 39
37.66°, I = 50
39.51°, I = 52
39.67°, I = 100
45.20°, I = 21
62.04°, I = 22
69.33°, I = 18
74.90°, I = 25
76.41°, I = 14

Atomic structure:
a b c (Å): 9.554 5.984 5.984
angles (deg): 59.67 90.00 90.00
Fractional coordinates of all 16 atoms:
Mg: 0.000 0.000 0.000
Ag: 0.000 0.499 0.999
Ag: 0.000 0.999 0.499
Ag: 0.251 0.166 0.166
Ag: 0.254 0.160 0.670
Ag: 0.254 0.668 0.668
Ag: 0.254 0.670 0.160
Ag: 0.500 0.332 0.332
Ag: 0.500 0.332 0.831
Ag: 0.500 0.831 0.332
Ag: 0.500 0.831 0.831
Ag: 0.746 0.160 0.670
Ag: 0.746 0.668 0.668
Ag: 0.746 0.670 0.160
Ag: 0.749 0.166 0.166
Sb: 0.000 0.498 0.498



Record 11
# MgAgSb
Computed PXRD pattern, Cu Kα (weighted mean of Kα1 and Kα2). Input: the GGA-PBE geometry in Alexandria.
Kinematic intensities with the Lorentz-polarization factor, no thermal factor.

Peak list (10 most intense, 2θ from 10° to 90°, in order of rising 2θ)
13.52°, I = 19
23.70°, I = 75
30.51°, I = 17
30.66°, I = 16
31.08°, I = 19
38.88°, I = 46
39.34°, I = 100
40.77°, I = 14
46.05°, I = 19
70.72°, I = 19

Atomic structure:
a b c (Å): 9.163 9.163 9.163
angles (deg): 119.26 119.26 91.28
Fractional coordinates of all 24 atoms:
Mg: 0.088 0.840 0.200
Mg: 0.111 0.912 0.752
Mg: 0.140 0.340 0.752
Mg: 0.160 0.360 0.248
Mg: 0.588 0.389 0.248
Mg: 0.611 0.860 0.200
Mg: 0.640 0.889 0.800
Mg: 0.660 0.412 0.800
Ag: 0.000 0.500 0.500
Ag: 0.224 0.724 0.948
Ag: 0.250 0.750 0.500
Ag: 0.276 0.224 0.500
Ag: 0.500 0.000 0.500
Ag: 0.724 0.776 0.500
Ag: 0.750 0.250 0.500
Ag: 0.776 0.276 0.052
Sb: 0.343 0.597 0.209
Sb: 0.366 0.111 0.209
Sb: 0.389 0.134 0.791
Sb: 0.403 0.611 0.746
Sb: 0.843 0.634 0.746
Sb: 0.866 0.657 0.254
Sb: 0.889 0.097 0.254
Sb: 0.903 0.157 0.791



Record 12
# Mg4Ag15Sb
Computed PXRD pattern, Cu Kα (weighted mean of Kα1 and Kα2). Input: the GGA-PBE geometry in Alexandria.
Kinematic intensities with the Lorentz-polarization factor, no thermal factor.

Peak list (10 most intense, 2θ from 10° to 90°, in order of rising 2θ)
21.17°, I = 7
30.25°, I = 6
37.22°, I = 100
43.12°, I = 33
43.49°, I = 15
62.62°, I = 10
62.91°, I = 19
75.15°, I = 23
75.68°, I = 11
79.32°, I = 10

Atomic structure:
a b c (Å): 4.196 4.196 20.810
angles (deg): 90.00 90.00 90.00
Fractional coordinates of all 20 atoms:
Mg: 0.000 0.000 0.098
Mg: 0.000 0.000 0.297
Mg: 0.000 0.000 0.703
Mg: 0.000 0.000 0.902
Ag: 0.000 0.500 0.000
Ag: 0.000 0.500 0.198
Ag: 0.000 0.500 0.395
Ag: 0.000 0.500 0.605
Ag: 0.000 0.500 0.802
Ag: 0.500 0.000 0.000
Ag: 0.500 0.000 0.198
Ag: 0.500 0.000 0.395
Ag: 0.500 0.000 0.605
Ag: 0.500 0.000 0.802
Ag: 0.500 0.500 0.099
Ag: 0.500 0.500 0.297
Ag: 0.500 0.500 0.500
Ag: 0.500 0.500 0.703
Ag: 0.500 0.500 0.901
Sb: 0.000 0.000 0.500